For Ti3Nb, a crystal structure in the Materials Project, relaxed with PBE gives the calculated powder X-ray diffraction pattern in this record (Cu Kα (weighted mean of Kα1 and Kα2)).
No peak broadening, texture or thermal motion is included.

Principal peaks in the range 2θ = 15–90°, by angle:
2θ = 21.50°, rel. 13
2θ = 30.59°, rel. 11
2θ = 37.69°, rel. 100
2θ = 43.80°, rel. 48
2θ = 49.30°, rel. 6
2θ = 54.37°, rel. 5
2θ = 63.68°, rel. 29
2θ = 68.05°, rel. 3
2θ = 72.28°, rel. 2
2θ = 76.42°, rel. 33
2θ = 80.49°, rel. 9
2θ = 88.51°, rel. 2

Crystal structure
Unit cell a=4.1334 b=4.1334 c=4.1334 alpha=90.00 beta=90.00 gamma=90.00
Fractional positions:
Ti1 0.0000 0.0000 0.5000
Ti2 0.0000 0.5000 0.0000
Ti3 0.5000 0.0000 0.0000
Nb1 0.5000 0.5000 0.5000

For Ti4Cu3O12, a crystal structure in the Materials Project, relaxed with PBE gives the calculated powder X-ray diffraction pattern in this record (Cu Kα (weighted mean of Kα1 and Kα2)).
No peak broadening, texture or thermal motion is included.

Principal peaks in the range 2θ = 15–90°, by angle:
2θ = 16.95°, rel. 31
2θ = 29.57°, rel. 19
2θ = 34.28°, rel. 100
2θ = 38.48°, rel. 12
2θ = 45.89°, rel. 7
2θ = 49.26°, rel. 28
2θ = 52.47°, rel. 7
2θ = 58.51°, rel. 5
2θ = 61.39°, rel. 53
2θ = 72.23°, rel. 12
2θ = 74.83°, rel. 4
2θ = 82.45°, rel. 16

Crystal structure
Unit cell a=6.4075 b=6.4075 c=6.4075 alpha=109.47 beta=109.47 gamma=109.47
Fractional positions:
Ti1 0.0000 0.0000 0.5000
Ti2 0.0000 0.5000 0.0000
Ti3 0.5000 0.0000 0.0000
Ti4 0.5000 0.5000 0.5000
Cu1 0.0000 0.5000 0.5000
Cu2 0.5000 0.0000 0.5000
Cu3 0.5000 0.5000 0.0000
O1 0.1382 0.3150 0.8232
O2 0.1768 0.4918 0.3150
O3 0.1768 0.8618 0.6850
O4 0.3150 0.1768 0.4918
O5 0.3150 0.8232 0.1382
O6 0.4918 0.3150 0.1768
O7 0.5082 0.6850 0.8232
O8 0.6850 0.1768 0.8618
O9 0.6850 0.8232 0.5082
O10 0.8232 0.1382 0.3150
O11 0.8232 0.5082 0.6850
O12 0.8618 0.6850 0.1768

For GdBO3, a crystal structure in the Materials Project, relaxed with PBE gives the calculated powder X-ray diffraction pattern in this record (Cu Kα (weighted mean of Kα1 and Kα2)).
No peak broadening, texture or thermal motion is included.

Principal peaks in the range 2θ = 15–90°, by angle:
2θ = 19.77°, rel. 60
2θ = 26.67°, rel. 100
2θ = 33.37°, rel. 78
2θ = 33.52°, rel. 39
2θ = 40.17°, rel. 12
2θ = 47.04°, rel. 24
2θ = 47.20°, rel. 12
2θ = 48.80°, rel. 38
2θ = 49.00°, rel. 19
2θ = 51.47°, rel. 21
2θ = 51.55°, rel. 14
2θ = 58.89°, rel. 17

Crystal structure
Unit cell a=6.6782 b=6.6782 c=9.7513 alpha=109.71 beta=109.71 gamma=60.21
Fractional positions:
Gd1 0.0000 0.5000 0.0000
Gd2 0.1568 0.6706 0.5007
Gd3 0.3294 0.8432 0.9993
Gd4 0.5000 0.0000 0.5000
Gd5 0.6706 0.1568 0.0007
Gd6 0.8432 0.3294 0.4993
B1 0.1780 0.8220 0.2500
B2 0.3471 0.4158 0.7530
B3 0.4158 0.3471 0.2530
B4 0.5842 0.6529 0.7470
B5 0.6529 0.5842 0.2470
B6 0.8220 0.1780 0.7500
O1 0.0205 0.8835 0.1100
O2 0.1165 0.9795 0.3900
O3 0.1902 0.3683 0.6127
O4 0.2024 0.5847 0.2523
O5 0.2842 0.4637 0.8939
O6 0.3683 0.1902 0.1127
O7 0.3715 0.6285 0.7500
O8 0.4153 0.7976 0.2477
O9 0.4637 0.2842 0.3939
O10 0.5363 0.7158 0.6061
O11 0.5847 0.2024 0.7523
O12 0.6285 0.3715 0.2500
O13 0.6317 0.8098 0.8873
O14 0.7158 0.5363 0.1061
O15 0.7976 0.4153 0.7477
O16 0.8098 0.6317 0.3873
O17 0.8835 0.0205 0.6100
O18 0.9795 0.1165 0.8900

For SrBi3Cl3O4, a crystal structure in the Materials Project, relaxed with PBE gives the calculated powder X-ray diffraction pattern in this record (Cu Kα (weighted mean of Kα1 and Kα2)).
No peak broadening, texture or thermal motion is included.

Principal peaks in the range 2θ = 15–90°, by angle:
2θ = 22.58°, rel. 24
2θ = 24.37°, rel. 34
2θ = 25.76°, rel. 17
2θ = 27.62°, rel. 41
2θ = 31.82°, rel. 59
2θ = 31.92°, rel. 100
2θ = 41.38°, rel. 30
2θ = 45.62°, rel. 30
2θ = 51.24°, rel. 18
2θ = 54.87°, rel. 20
2θ = 56.76°, rel. 39
2θ = 75.63°, rel. 21

Crystal structure
Unit cell a=14.1153 b=14.1153 c=14.1153 alpha=163.80 beta=163.80 gamma=22.99
Fractional positions:
Sr1 0.0000 0.0000 0.0000
Bi1 0.2630 0.2630 0.0000
Bi2 0.4091 0.4091 0.0000
Bi3 0.6719 0.6719 0.0000
Cl1 0.1287 0.1287 0.0000
Cl2 0.5507 0.5507 0.0000
Cl3 0.8182 0.8182 0.0000
O1 0.2196 0.7196 0.5000
O2 0.4450 0.9450 0.5000
O3 0.7196 0.2196 0.5000
O4 0.9450 0.4450 0.5000

For BaMg6Ti, a crystal structure in the Materials Project, relaxed with PBE gives the calculated powder X-ray diffraction pattern in this record (Cu Kα (weighted mean of Kα1 and Kα2)).
No peak broadening, texture or thermal motion is included.

Principal peaks in the range 2θ = 15–90°, by angle:
2θ = 15.53°, rel. 30
2θ = 16.82°, rel. 27
2θ = 22.47°, rel. 30
2θ = 22.97°, rel. 27
2θ = 29.82°, rel. 29
2θ = 31.35°, rel. 17
2θ = 34.02°, rel. 32
2θ = 34.43°, rel. 100
2θ = 35.78°, rel. 38
2θ = 45.86°, rel. 17
2θ = 54.84°, rel. 18
2θ = 61.16°, rel. 18

Crystal structure
Unit cell a=5.2699 b=7.0399 c=11.4142 alpha=90.00 beta=90.00 gamma=90.00
Fractional positions:
Ba1 0.0000 0.0000 0.0000
Ba2 0.0000 0.5000 0.5000
Mg1 0.0000 0.2500 0.2485
Mg2 0.0000 0.2500 0.7485
Mg3 0.0000 0.7500 0.2485
Mg4 0.0000 0.7500 0.7485
Mg5 0.5000 0.0000 0.3364
Mg6 0.5000 0.0000 0.8114
Mg7 0.5000 0.2201 0.5798
Mg8 0.5000 0.2799 0.0798
Mg9 0.5000 0.5000 0.3114
Mg10 0.5000 0.5000 0.8364
Mg11 0.5000 0.7201 0.0798
Mg12 0.5000 0.7799 0.5798
Ti1 0.0000 0.0000 0.5132
Ti2 0.0000 0.5000 0.0132

For Cs5YO4, a crystal structure in the Materials Project, relaxed with PBE gives the calculated powder X-ray diffraction pattern in this record (Cu Kα (weighted mean of Kα1 and Kα2)).
No peak broadening, texture or thermal motion is included.

Principal peaks in the range 2θ = 15–90°, by angle:
2θ = 23.82°, rel. 31
2θ = 24.44°, rel. 56
2θ = 24.92°, rel. 39
2θ = 25.99°, rel. 26
2θ = 26.27°, rel. 62
2θ = 26.83°, rel. 38
2θ = 27.09°, rel. 25
2θ = 28.66°, rel. 43
2θ = 29.24°, rel. 20
2θ = 29.67°, rel. 100
2θ = 33.76°, rel. 38
2θ = 46.69°, rel. 20

Crystal structure
Unit cell a=11.9173 b=13.4354 c=7.5746 alpha=90.00 beta=98.41 gamma=90.00
Fractional positions:
Cs1 0.0008 0.1438 0.4213
Cs2 0.0008 0.3562 0.9213
Cs3 0.1288 0.0724 0.9385
Cs4 0.1288 0.4276 0.4385
Cs5 0.2689 0.6969 0.5012
Cs6 0.2689 0.8031 0.0012
Cs7 0.3519 0.1814 0.6675
Cs8 0.3519 0.3186 0.1675
Cs9 0.4913 0.5756 0.2375
Cs10 0.4913 0.9244 0.7375
Cs11 0.5087 0.0756 0.2625
Cs12 0.5087 0.4244 0.7625
Cs13 0.6481 0.6814 0.8325
Cs14 0.6481 0.8186 0.3325
Cs15 0.7311 0.1969 0.9988
Cs16 0.7311 0.3031 0.4988
Cs17 0.8712 0.5724 0.5615
Cs18 0.8712 0.9276 0.0615
Cs19 0.9992 0.6438 0.0787
Cs20 0.9992 0.8562 0.5787
Y1 0.2451 0.5331 0.8878
Y2 0.2451 0.9669 0.3878
Y3 0.7549 0.0331 0.6122
Y4 0.7549 0.4669 0.1122
O1 0.1011 0.6065 0.7349
O2 0.1011 0.8935 0.2349
O3 0.2262 0.5389 0.1673
O4 0.2262 0.9611 0.6673
O5 0.2610 0.1227 0.3128
O6 0.2610 0.3773 0.8128
O7 0.4005 0.6114 0.8499
O8 0.4005 0.8886 0.3499
O9 0.5995 0.1114 0.6501
O10 0.5995 0.3886 0.1501
O11 0.7390 0.6227 0.1872
O12 0.7390 0.8773 0.6872
O13 0.7738 0.0389 0.3327
O14 0.7738 0.4611 0.8327
O15 0.8989 0.1065 0.7651
O16 0.8989 0.3935 0.2651

For Ca3Bi2O7, a crystal structure in the Materials Project, relaxed with PBE gives the calculated powder X-ray diffraction pattern in this record (Cu Kα (weighted mean of Kα1 and Kα2)).
No peak broadening, texture or thermal motion is included.

Principal peaks in the range 2θ = 15–90°, by angle:
2θ = 17.36°, rel. 29
2θ = 21.43°, rel. 56
2θ = 24.76°, rel. 11
2θ = 29.36°, rel. 22
2θ = 30.38°, rel. 100
2θ = 42.70°, rel. 19
2θ = 45.32°, rel. 14
2θ = 46.42°, rel. 14
2θ = 47.63°, rel. 10
2θ = 52.72°, rel. 16
2θ = 53.90°, rel. 24
2θ = 63.24°, rel. 10

Crystal structure
Unit cell a=10.6355 b=10.6355 c=6.0841 alpha=90.00 beta=90.00 gamma=32.19
Fractional positions:
Ca1 0.0413 0.5658 0.6156
Ca2 0.2345 0.7655 0.5000
Ca3 0.4342 0.9587 0.6156
Ca4 0.5658 0.0413 0.1156
Ca5 0.7655 0.2345 0.0000
Ca6 0.9587 0.4342 0.1156
Bi1 0.1495 0.6428 0.0519
Bi2 0.3572 0.8505 0.0519
Bi3 0.6428 0.1495 0.5519
Bi4 0.8505 0.3572 0.5519
O1 0.0145 0.1395 0.2390
O2 0.0758 0.3346 0.4919
O3 0.1395 0.0145 0.7390
O4 0.3082 0.4213 0.3513
O5 0.3346 0.0758 0.9919
O6 0.3894 0.6106 0.1289
O7 0.4213 0.3082 0.8513
O8 0.5787 0.6918 0.3513
O9 0.6106 0.3894 0.6289
O10 0.6654 0.9242 0.4919
O11 0.6918 0.5787 0.8513
O12 0.8605 0.9855 0.2390
O13 0.9242 0.6654 0.9919
O14 0.9855 0.8605 0.7390